Theoretical powder XRD pattern of Ti2MnP3O12 for Cu Kα (λ = 1.5418 Å), from a structure optimized by DFT (PBE+U).
No peak broadening, texture or thermal motion is included.

Most intense lines, 2θ = 5–70°, in order of falling intensity:
2θ = 24.06°, d = 3.698 Å, rel. 100
2θ = 32.68°, d = 2.740 Å, rel. 68
2θ = 20.46°, d = 4.340 Å, rel. 65
2θ = 56.08°, d = 1.640 Å, rel. 31
2θ = 35.83°, d = 2.506 Å, rel. 29
2θ = 49.28°, d = 1.849 Å, rel. 25
2θ = 46.89°, d = 1.938 Å, rel. 24
2θ = 62.41°, d = 1.488 Å, rel. 16
2θ = 25.14°, d = 3.543 Å, rel. 16
2θ = 31.77°, d = 2.817 Å, rel. 15

Atomic structure:
```
Ti2MnP3O12
1.0
4.3411 2.5063 7.0626
-4.3411 2.5063 7.0626
0.0000 -5.0127 7.0626
Ti Mn P O
4 2 6 24
direct
0.1454 0.1454 0.1454 Ti
0.3546 0.3546 0.3546 Ti
0.6454 0.6454 0.6454 Ti
0.8546 0.8546 0.8546 Ti
0.0000 0.0000 0.0000 Mn
0.5000 0.5000 0.5000 Mn
0.0434 0.7500 0.4566 P
0.2500 0.5434 0.9566 P
0.4566 0.0434 0.7500 P
0.5434 0.9566 0.2500 P
0.7500 0.4566 0.0434 P
0.9566 0.2500 0.5434 P
0.0011 0.8121 0.6161 O
0.0582 0.9130 0.2640 O
0.0870 0.7360 0.9418 O
0.1161 0.3121 0.5011 O
0.1879 0.3839 0.9989 O
0.2360 0.5870 0.4418 O
0.2640 0.0582 0.9130 O
0.3121 0.5011 0.1161 O
0.3839 0.9989 0.1879 O
0.4130 0.5582 0.7640 O
0.4418 0.2360 0.5870 O
0.4989 0.8839 0.6879 O
0.5011 0.1161 0.3121 O
0.5582 0.7640 0.4130 O
0.5870 0.4418 0.2360 O
0.6161 0.0011 0.8121 O
0.6879 0.4989 0.8839 O
0.7360 0.9418 0.0870 O
0.7640 0.4130 0.5582 O
0.8121 0.6161 0.0011 O
0.8839 0.6879 0.4989 O
0.9130 0.2640 0.0582 O
0.9418 0.0870 0.7360 O
0.9989 0.1879 0.3839 O
```